1.
Theoretical X-ray diffraction stick pattern
Compound: MgBe2Os
Radiation: λ = 1.5418 Å (Cu Kα)
Structure: a crystal structure in Alexandria, relaxed with GGA-PBE
Lines closer than 0.1° are merged.

Peak list (12 most intense, 2θ from 10° to 90°, in order of rising 2θ)
- 2θ = 15.8°, d = 5.615 Å, rel. 100
- 2θ = 29.9°, d = 2.985 Å, rel. 64
- 2θ = 31.9°, d = 2.808 Å, rel. 28
- 2θ = 34.0°, d = 2.635 Å, rel. 56
- 2θ = 42.9°, d = 2.110 Å, rel. 31
- 2θ = 44.3°, d = 2.045 Å, rel. 54
- 2θ = 45.9°, d = 1.975 Å, rel. 28
- 2θ = 54.4°, d = 1.687 Å, rel. 25
- 2θ = 58.2°, d = 1.586 Å, rel. 15
- 2θ = 70.6°, d = 1.335 Å, rel. 11
- 2θ = 72.8°, d = 1.299 Å, rel. 13
- 2θ = 79.5°, d = 1.205 Å, rel. 20

Crystal structure
```
data_MgBe2Os
_chemical_formula_sum 'Mg1 Be2 Os1'
_symmetry_space_group_name_H-M 'P 1'
_symmetry_Int_Tables_number 1
_symmetry_space_group_name_Hall 'P 1'
_cell_length_a 2.9845
_cell_length_b 2.9845
_cell_length_c 5.6150
_cell_angle_alpha 90.00
_cell_angle_beta 90.00
_cell_angle_gamma 90.00
loop_
_atom_site_label
_atom_site_type_symbol
_atom_site_fract_x
_atom_site_fract_y
_atom_site_fract_z
Mg1 Mg 0.0000 0.0000 0.0000
Be1 Be 0.5000 0.5000 0.3092
Be2 Be 0.5000 0.5000 0.6908
Os1 Os 0.0000 0.0000 0.5000
```

---

2.
Theoretical X-ray diffraction stick pattern
Compound: NaAlCdF6
Radiation: λ = 1.5418 Å (Cu Kα)
Structure: a crystal structure in Alexandria, relaxed with GGA-PBE
Lines closer than 0.1° are merged.

Peak list (12 most intense, 2θ from 10° to 90°, in order of rising 2θ)
- 2θ = 11.2°, d = 7.913 Å, rel. 100
- 2θ = 17.5°, d = 5.074 Å, rel. 17
- 2θ = 26.6°, d = 3.350 Å, rel. 55
- 2θ = 27.3°, d = 3.267 Å, rel. 37
- 2θ = 28.2°, d = 3.160 Å, rel. 23
- 2θ = 33.2°, d = 2.702 Å, rel. 37
- 2θ = 33.4°, d = 2.681 Å, rel. 27
- 2θ = 36.7°, d = 2.451 Å, rel. 29
- 2θ = 45.7°, d = 1.986 Å, rel. 27
- 2θ = 49.3°, d = 1.849 Å, rel. 19
- 2θ = 51.9°, d = 1.762 Å, rel. 15
- 2θ = 53.2°, d = 1.722 Å, rel. 18

Crystal structure
```
data_NaAlCdF6
_chemical_formula_sum 'Na4 Al4 Cd4 F24'
_symmetry_space_group_name_H-M 'P 1'
_symmetry_Int_Tables_number 1
_symmetry_space_group_name_Hall 'P 1'
_cell_length_a 12.6417
_cell_length_b 3.6976
_cell_length_c 10.1473
_cell_angle_alpha 90.00
_cell_angle_beta 90.00
_cell_angle_gamma 90.00
loop_
_atom_site_label
_atom_site_type_symbol
_atom_site_fract_x
_atom_site_fract_y
_atom_site_fract_z
Na1 Na 0.0862 0.2500 0.1780
Na2 Na 0.4138 0.7500 0.6780
Na3 Na 0.5862 0.2500 0.3220
Na4 Na 0.9138 0.7500 0.8220
Al1 Al 0.1640 0.2500 0.8211
Al2 Al 0.3360 0.7500 0.3211
Al3 Al 0.6640 0.2500 0.6789
Al4 Al 0.8360 0.7500 0.1789
Cd1 Cd 0.1209 0.7500 0.5021
Cd2 Cd 0.3791 0.2500 0.0021
Cd3 Cd 0.6209 0.7500 0.9979
Cd4 Cd 0.8791 0.2500 0.4979
F1 F 0.0254 0.2500 0.8536
F2 F 0.0433 0.2500 0.4035
F3 F 0.1445 0.2500 0.6412
F4 F 0.1656 0.7500 0.8148
F5 F 0.1926 0.7500 0.2891
F6 F 0.1973 0.2500 0.9962
F7 F 0.3027 0.7500 0.4962
F8 F 0.3074 0.2500 0.7891
F9 F 0.3344 0.2500 0.3148
F10 F 0.3555 0.7500 0.1412
F11 F 0.4567 0.7500 0.9035
F12 F 0.4746 0.7500 0.3536
F13 F 0.5254 0.2500 0.6464
F14 F 0.5433 0.2500 0.0965
F15 F 0.6445 0.2500 0.8588
F16 F 0.6656 0.7500 0.6852
F17 F 0.6926 0.7500 0.2109
F18 F 0.6973 0.2500 0.5038
F19 F 0.8027 0.7500 0.0038
F20 F 0.8074 0.2500 0.7109
F21 F 0.8344 0.2500 0.1852
F22 F 0.8555 0.7500 0.3588
F23 F 0.9567 0.7500 0.5965
F24 F 0.9746 0.7500 0.1464
```

---

3.
Theoretical X-ray diffraction stick pattern
Compound: CrMo2W4
Radiation: λ = 1.5418 Å (Cu Kα)
Structure: a crystal structure in Alexandria, relaxed with GGA-PBE
Lines closer than 0.1° are merged.

Peak list (12 most intense, 2θ from 10° to 90°, in order of rising 2θ)
- 2θ = 23.1°, d = 3.853 Å, rel. 18
- 2θ = 38.4°, d = 2.346 Å, rel. 19
- 2θ = 38.5°, d = 2.337 Å, rel. 27
- 2θ = 38.8°, d = 2.319 Å, rel. 70
- 2θ = 39.1°, d = 2.305 Å, rel. 100
- 2θ = 39.2°, d = 2.298 Å, rel. 77
- 2θ = 41.7°, d = 2.168 Å, rel. 26
- 2θ = 41.7°, d = 2.164 Å, rel. 53
- 2θ = 41.9°, d = 2.157 Å, rel. 45
- 2θ = 44.0°, d = 2.058 Å, rel. 20
- 2θ = 44.8°, d = 2.024 Å, rel. 16
- 2θ = 45.1°, d = 2.012 Å, rel. 23

Crystal structure
```
data_CrMo2W4
_chemical_formula_sum 'Cr2 Mo4 W8'
_symmetry_space_group_name_H-M 'P 1'
_symmetry_Int_Tables_number 1
_symmetry_space_group_name_Hall 'P 1'
_cell_length_a 5.1828
_cell_length_b 7.0496
_cell_length_c 7.0554
_cell_angle_alpha 60.32
_cell_angle_beta 85.45
_cell_angle_gamma 85.79
loop_
_atom_site_label
_atom_site_type_symbol
_atom_site_fract_x
_atom_site_fract_y
_atom_site_fract_z
Cr1 Cr 0.0000 0.0000 0.0000
Cr2 Cr 0.2498 0.8945 0.4411
Mo1 Mo 0.2415 0.6228 0.3017
Mo2 Mo 0.5619 0.4500 0.7837
Mo3 Mo 0.7420 0.8426 0.6922
Mo4 Mo 0.7471 0.5609 0.1085
W1 W 0.0667 0.4551 0.7664
W2 W 0.2372 0.7640 0.8561
W3 W 0.2568 0.3036 0.1664
W4 W 0.4272 0.2186 0.5543
W5 W 0.4978 0.0013 0.0030
W6 W 0.7520 0.7039 0.3888
W7 W 0.7617 0.1388 0.2422
W8 W 0.9264 0.2367 0.5519
```

---

4.
Theoretical X-ray diffraction stick pattern
Compound: La2TbSm5Sc
Radiation: λ = 1.5418 Å (Cu Kα)
Structure: a crystal structure in Alexandria, relaxed with GGA-PBE
Lines closer than 0.1° are merged.

Peak list (12 most intense, 2θ from 10° to 90°, in order of rising 2θ)
- 2θ = 26.9°, d = 3.316 Å, rel. 34
- 2θ = 31.5°, d = 2.843 Å, rel. 100
- 2θ = 32.5°, d = 2.757 Å, rel. 14
- 2θ = 32.8°, d = 2.731 Å, rel. 33
- 2θ = 35.4°, d = 2.535 Å, rel. 14
- 2θ = 46.8°, d = 1.940 Å, rel. 10
- 2θ = 48.8°, d = 1.866 Å, rel. 9
- 2θ = 49.0°, d = 1.858 Å, rel. 11
- 2θ = 57.7°, d = 1.597 Å, rel. 16
- 2θ = 58.5°, d = 1.577 Å, rel. 8
- 2θ = 59.9°, d = 1.543 Å, rel. 12
- 2θ = 60.1°, d = 1.541 Å, rel. 8

Crystal structure
```
data_La2TbSm5Sc
_chemical_formula_sum 'La4 Tb2 Sm10 Sc2'
_symmetry_space_group_name_H-M 'P 1'
_symmetry_Int_Tables_number 1
_symmetry_space_group_name_Hall 'P 1'
_cell_length_a 11.3617
_cell_length_b 11.3617
_cell_length_c 10.1388
_cell_angle_alpha 90.00
_cell_angle_beta 90.00
_cell_angle_gamma 152.19
loop_
_atom_site_label
_atom_site_type_symbol
_atom_site_fract_x
_atom_site_fract_y
_atom_site_fract_z
La1 La 0.1170 0.8830 0.5069
La2 La 0.1170 0.8830 0.9931
La3 La 0.8830 0.1170 0.0069
La4 La 0.8830 0.1170 0.4931
Tb1 Tb 0.3974 0.6026 0.7500
Tb2 Tb 0.6026 0.3974 0.2500
Sm1 Sm 0.0000 0.0000 0.2500
Sm2 Sm 0.0000 0.0000 0.7500
Sm3 Sm 0.2768 0.7232 0.5634
Sm4 Sm 0.2768 0.7232 0.9366
Sm5 Sm 0.3729 0.6271 0.2500
Sm6 Sm 0.5000 0.5000 0.0000
Sm7 Sm 0.5000 0.5000 0.5000
Sm8 Sm 0.6271 0.3729 0.7500
Sm9 Sm 0.7232 0.2768 0.0634
Sm10 Sm 0.7232 0.2768 0.4366
Sc1 Sc 0.2146 0.7854 0.2500
Sc2 Sc 0.7854 0.2146 0.7500
```

---

5.
Theoretical X-ray diffraction stick pattern
Compound: PmHo2Sb3
Radiation: λ = 1.5418 Å (Cu Kα)
Structure: a crystal structure in Alexandria, relaxed with GGA-PBE
Lines closer than 0.1° are merged.

Peak list (11 most intense, 2θ from 10° to 90°, in order of rising 2θ)
- 2θ = 24.7°, d = 3.601 Å, rel. 3
- 2θ = 28.6°, d = 3.119 Å, rel. 100
- 2θ = 40.9°, d = 2.205 Å, rel. 76
- 2θ = 48.4°, d = 1.881 Å, rel. 2
- 2θ = 50.7°, d = 1.801 Å, rel. 27
- 2θ = 59.3°, d = 1.559 Å, rel. 13
- 2θ = 65.2°, d = 1.431 Å, rel. 1
- 2θ = 67.1°, d = 1.395 Å, rel. 35
- 2θ = 74.5°, d = 1.273 Å, rel. 26
- 2θ = 79.9°, d = 1.200 Å, rel. 1
- 2θ = 88.7°, d = 1.103 Å, rel. 8

Crystal structure
```
data_PmHo2Sb3
_chemical_formula_sum 'Pm1 Ho2 Sb3'
_symmetry_space_group_name_H-M 'P 1'
_symmetry_Int_Tables_number 1
_symmetry_space_group_name_Hall 'P 1'
_cell_length_a 7.6381
_cell_length_b 7.6381
_cell_length_c 7.6381
_cell_angle_alpha 146.43
_cell_angle_beta 131.79
_cell_angle_gamma 60.02
loop_
_atom_site_label
_atom_site_type_symbol
_atom_site_fract_x
_atom_site_fract_y
_atom_site_fract_z
Pm1 Pm 0.0000 0.0000 0.0000
Ho1 Ho 0.3346 0.3346 0.0000
Ho2 Ho 0.6654 0.6654 0.0000
Sb1 Sb 0.1710 0.6710 0.5000
Sb2 Sb 0.5000 0.0000 0.5000
Sb3 Sb 0.8290 0.3290 0.5000
```

---

6.
Theoretical X-ray diffraction stick pattern
Compound: Mg14AlMo
Radiation: λ = 1.5418 Å (Cu Kα)
Structure: a crystal structure in Alexandria, relaxed with GGA-PBE
Lines closer than 0.1° are merged.

Peak list (12 most intense, 2θ from 10° to 90°, in order of rising 2θ)
- 2θ = 16.6°, d = 5.353 Å, rel. 13
- 2θ = 18.7°, d = 4.740 Å, rel. 18
- 2θ = 33.1°, d = 2.709 Å, rel. 13
- 2θ = 33.5°, d = 2.676 Å, rel. 26
- 2θ = 35.2°, d = 2.552 Å, rel. 41
- 2θ = 37.6°, d = 2.393 Å, rel. 53
- 2θ = 38.0°, d = 2.370 Å, rel. 100
- 2θ = 49.3°, d = 1.847 Å, rel. 17
- 2θ = 59.3°, d = 1.558 Å, rel. 17
- 2θ = 65.0°, d = 1.436 Å, rel. 19
- 2θ = 70.9°, d = 1.329 Å, rel. 19
- 2θ = 73.1°, d = 1.294 Å, rel. 14

Crystal structure
```
data_Mg14AlMo
_chemical_formula_sum 'Mg14 Al1 Mo1'
_symmetry_space_group_name_H-M 'P 1'
_symmetry_Int_Tables_number 1
_symmetry_space_group_name_Hall 'P 1'
_cell_length_a 10.2083
_cell_length_b 6.2307
_cell_length_c 6.2307
_cell_angle_alpha 59.21
_cell_angle_beta 90.00
_cell_angle_gamma 90.00
loop_
_atom_site_label
_atom_site_type_symbol
_atom_site_fract_x
_atom_site_fract_y
_atom_site_fract_z
Mg1 Mg 0.0000 0.0000 0.0000
Mg2 Mg 0.0000 0.0024 0.5003
Mg3 Mg 0.0000 0.4994 0.4994
Mg4 Mg 0.0000 0.5003 0.0024
Mg5 Mg 0.2497 0.6655 0.6655
Mg6 Mg 0.2576 0.1614 0.1614
Mg7 Mg 0.2642 0.1646 0.6735
Mg8 Mg 0.2642 0.6735 0.1646
Mg9 Mg 0.5000 0.4989 0.9989
Mg10 Mg 0.5000 0.9989 0.4989
Mg11 Mg 0.7358 0.1646 0.6735
Mg12 Mg 0.7358 0.6735 0.1646
Mg13 Mg 0.7424 0.1614 0.1614
Mg14 Mg 0.7503 0.6655 0.6655
Al1 Al 0.5000 0.5030 0.5030
Mo1 Mo 0.5000 0.0020 0.0020
```